Simulated powder diffraction line list of ZnSn2As2 for Cu Kα (weighted mean of Kα1 and Kα2), from a cell relaxed with PBE.
Intensities are scaled so that the largest is 100.

Cell lengths 7.5935, 7.5935, 8.2678 Å; angles 90.00, 90.00, 148.10 degrees
Fractional positions:
Zn 0.0994 0.9006 0.5000
Zn 0.9006 0.0994 0.0000
Sn 0.3261 0.6739 0.3382
Sn 0.4095 0.5905 0.6805
Sn 0.5905 0.4095 0.1805
Sn 0.6739 0.3261 0.8382
As 0.0242 0.9758 0.7726
As 0.2990 0.7010 0.9565
As 0.7010 0.2990 0.4565
As 0.9758 0.0242 0.2726

Peak list (12 most intense, 2θ from 5° to 70°, in order of rising 2θ)
| 2theta | I (rel.) |
| --- | --- |
| 24.7 | 56 |
| 28.2 | 84 |
| 30.2 | 100 |
| 34.8 | 78 |
| 35.7 | 46 |
| 39.2 | 32 |
| 39.7 | 34 |
| 43.1 | 23 |
| 43.4 | 47 |
| 43.7 | 75 |
| 49.6 | 23 |
| 56.8 | 38 |



Simulated powder diffraction line list of ZrTaFeBi for Cu Kα (weighted mean of Kα1 and Kα2), from a cell relaxed with PBE.
Intensities are scaled so that the largest is 100.

Cell lengths 4.7455, 4.7455, 4.7455 Å; angles 60.00, 60.00, 60.00 degrees
Fractional positions:
Zr 0.0000 0.0000 0.0000
Ta 0.7500 0.7500 0.7500
Fe 0.5000 0.5000 0.5000
Bi 0.2500 0.2500 0.2500

Peak list (8 most intense, 2θ from 5° to 70°, in order of rising 2θ)
| 2theta | I (rel.) |
| --- | --- |
| 23.0 | 2 |
| 26.6 | 23 |
| 37.9 | 100 |
| 44.8 | 1 |
| 46.9 | 7 |
| 54.7 | 17 |
| 61.8 | 10 |
| 68.5 | 35 |